[1]
This entry pairs a crystal structure of CrFeNi with its calculated powder XRD pattern. Radiation: λ = 1.5418 Å (Cu Kα). Structure: the GGA-PBE geometry in Alexandria.
Neutral-atom scattering factors, no anomalous dispersion.

The 6 most intense peaks (2θ = 10–90°), sorted by position:
d [Å], Position (°2θ), I (rel.)
2.053, 44.1, 100.0
1.862, 48.9, 17.8
1.744, 52.5, 14.4
1.737, 52.7, 14.2
1.273, 74.6, 9.0
1.108, 88.2, 11.3

Crystal structure
```
CrFeNi
1.0
0.0000 1.7437 5.5850
1.7373 0.0000 5.5850
1.7373 1.7437 0.0000
Cr Fe Ni
1 1 1
Cartesian
0.0000 0.0000 0.0000 Cr
1.7373 1.7437 7.5230 Fe
1.7373 1.7437 3.7814 Ni
```



[2]
This entry pairs a crystal structure of CrFe2Ni2 with its calculated powder XRD pattern. Radiation: λ = 1.5418 Å (Cu Kα). Structure: the GGA-PBE geometry in Alexandria.
Neutral-atom scattering factors, no anomalous dispersion.

The 6 most intense peaks (2θ = 10–90°), sorted by position:
d [Å], Position (°2θ), I (rel.)
2.071, 43.7, 100.0
2.056, 44.0, 49.0
2.050, 44.2, 48.5
1.803, 50.6, 31.5
1.784, 51.2, 30.2
1.771, 51.6, 29.5

Crystal structure
```
CrFe2Ni2
1.0
4.3902 0.0000 0.0000
-0.7577 4.3268 0.0000
-1.4501 -2.3639 5.9959
Cr Fe Ni
2 4 4
Cartesian
-0.0421 3.7290 1.5152 Cr
2.2245 -1.7661 4.4807 Cr
-1.4613 0.5969 5.1028 Fe
-0.7040 2.1690 3.3257 Fe
2.8865 -0.2061 2.6702 Fe
3.6438 1.3660 0.8931 Fe
0.0245 -1.3700 5.7076 Ni
0.7146 0.2015 3.8998 Ni
1.4679 1.7614 2.0961 Ni
2.1580 3.3329 0.2883 Ni
```



[3]
This entry pairs a crystal structure of CrFe3Ni6 with its calculated powder XRD pattern. Radiation: λ = 1.5418 Å (Cu Kα). Structure: the GGA-PBE geometry in Alexandria.
Neutral-atom scattering factors, no anomalous dispersion.

The 6 most intense peaks (2θ = 10–90°), sorted by position:
d [Å], Position (°2θ), I (rel.)
2.050, 44.2, 100.0
1.801, 50.7, 16.2
1.774, 51.5, 15.3
1.753, 52.2, 14.8
1.264, 75.2, 9.0
1.256, 75.7, 8.8

Crystal structure
```
CrFe3Ni6
1.0
7.9596 0.0000 0.0000
0.0000 3.5052 0.0000
-0.0969 0.0000 8.0276
Cr Fe Ni
2 6 12
Cartesian
0.7329 0.8763 0.3674 Cr
7.1298 2.6289 7.6601 Cr
0.7525 2.6289 4.4105 Fe
2.3153 0.8763 5.2024 Fe
3.9326 0.8763 1.9989 Fe
3.9301 2.6289 6.0287 Fe
5.5474 2.6289 2.8252 Fe
7.1102 0.8763 3.6170 Fe
7.8857 0.8763 6.0200 Ni
-0.0230 2.6289 2.0076 Ni
1.5492 0.8763 2.7884 Ni
1.5174 2.6289 6.8240 Ni
2.3617 2.6289 1.1934 Ni
3.0816 0.8763 7.6183 Ni
3.1353 2.6289 3.5976 Ni
4.7274 0.8763 4.4300 Ni
4.7811 2.6289 0.4093 Ni
5.5010 0.8763 6.8341 Ni
6.3453 0.8763 1.2035 Ni
6.3135 2.6289 5.2391 Ni
```



[4]
This entry pairs a crystal structure of Cr4FeNiS8 with its calculated powder XRD pattern. Radiation: λ = 1.5418 Å (Cu Kα). Structure: the GGA-PBE geometry in Alexandria.
Neutral-atom scattering factors, no anomalous dispersion.

The 6 most intense peaks (2θ = 10–90°), sorted by position:
d [Å], Position (°2θ), I (rel.)
3.472, 25.7, 33.7
2.961, 30.2, 100.0
2.455, 36.6, 48.8
1.890, 48.2, 42.3
1.736, 52.7, 88.9
1.278, 74.2, 16.4

Crystal structure
```
Cr4FeNiS8
1.0
0.0000 4.9099 4.9099
4.9099 0.0000 4.9099
4.9099 4.9099 0.0000
Cr Fe Ni S
4 1 1 8
Cartesian
1.1947 1.1947 1.1947 Cr
3.7152 3.7152 1.1947 Cr
3.7152 1.1947 3.7152 Cr
1.1947 3.7152 3.7152 Cr
4.9099 4.9099 4.9099 Fe
7.3648 7.3648 7.3648 Ni
8.6384 6.0913 6.0913 S
3.6058 3.6058 3.6058 S
6.2139 6.2139 3.6058 S
6.2139 3.6058 6.2139 S
6.0913 8.6384 6.0913 S
6.0913 6.0913 8.6384 S
8.6384 8.6384 8.6384 S
3.6058 6.2139 6.2139 S
```



[5]
This entry pairs a crystal structure of ScCrFeNi2 with its calculated powder XRD pattern. Radiation: λ = 1.5418 Å (Cu Kα). Structure: the GGA-PBE geometry in Alexandria.
Neutral-atom scattering factors, no anomalous dispersion.

The 6 most intense peaks (2θ = 10–90°), sorted by position:
d [Å], Position (°2θ), I (rel.)
4.376, 20.3, 37.4
2.456, 36.6, 99.3
2.188, 41.3, 100.0
2.019, 44.9, 38.5
1.547, 59.8, 30.4
1.484, 62.6, 52.2

Crystal structure
```
ScCrFeNi2
1.0
4.3758 0.0000 0.0000
0.0000 4.3758 0.0000
0.0000 0.0000 4.0375
Sc Cr Fe Ni
1 1 1 2
Cartesian
0.0000 0.0000 0.0000 Sc
2.1879 2.1879 0.0000 Cr
2.1879 2.1879 2.0188 Fe
0.0000 2.1879 2.0188 Ni
2.1879 0.0000 2.0188 Ni
```